Simulated XRD peak list of LaDyGe3 for Cu Kα (weighted mean of Kα1 and Kα2), from a DFT-relaxed cell (GGA-PBE, Alexandria).
Intensities are scaled so that the largest is 100.

Principal peaks in the range 5 to 70 degrees two-theta, most intense first:
2θ/deg	Rel. int.	(hkl)
31.84	100.0	1 3 1
30.98	45.8	1 7 0
40.10	29.5	0 10 1
41.62	25.7	2 0 0
44.86	20.7	0 0 2
59.18	18.8	2 10 1
55.51	17.6	1 7 2
42.89	17.0	1 9 1
25.68	16.2	0 4 1
62.84	15.0	2 0 2
26.35	14.4	0 8 0
69.85	10.2	3 3 1

Crystal structure
Unit cell a=4.3396 b=27.0590 c=4.0412 alpha=90.00 beta=90.00 gamma=90.00
Space group Cmcm (No. 63)
Unique sites:
1 La 0.0000 0.0737 0.2500
2 Dy 0.0000 0.2037 0.7500
3 Ge 0.0000 0.3123 0.7500
4 Ge 0.0000 0.3744 0.2500
5 Ge 0.0000 0.4721 0.2500